Starting from the PBE geometry in Alexandria, the X-ray powder pattern of Cs5NaW4N10 was calculated for λ = 1.5418 Å (Cu Kα).

Principal peaks in the range 2θ = 10–90°, low angle first:
- 2θ 17.0, intensity 11
- 2θ 24.6, intensity 12
- 2θ 26.3, intensity 16
- 2θ 27.7, intensity 15
- 2θ 27.8, intensity 100
- 2θ 28.1, intensity 59
- 2θ 40.2, intensity 15
- 2θ 43.5, intensity 12
- 2θ 49.5, intensity 30
- 2θ 65.6, intensity 10

a b c (Å): 11.042 11.042 11.042
angles (deg): 99.96 99.96 130.85
Fractional positions:
1 Cs 0.000 0.000 0.000
2 Cs 0.210 0.160 0.726
3 Cs 0.235 0.460 0.550
4 Cs 0.318 0.767 0.225
5 Cs 0.434 0.485 0.274
6 Cs 0.517 0.792 0.949
7 Cs 0.542 0.093 0.775
8 Cs 0.750 0.250 0.500
9 Cs 0.843 0.568 0.051
10 Cs 0.910 0.684 0.450
11 Na 0.251 0.751 0.500
12 Na 0.501 0.501 0.000
13 W 0.028 0.339 0.902
14 W 0.089 0.688 0.811
15 W 0.313 0.125 0.401
16 W 0.438 0.127 0.098
17 W 0.662 0.563 0.689
18 W 0.723 0.912 0.599
19 W 0.875 0.973 0.311
20 W 0.877 0.278 0.189
21 N 0.027 0.489 0.319
22 N 0.048 0.508 0.858
23 N 0.100 0.060 0.358
24 N 0.170 0.708 0.681
25 N 0.239 0.420 0.962
26 N 0.258 0.900 0.960
27 N 0.295 0.974 0.460
28 N 0.376 0.127 0.250
29 N 0.458 0.277 0.038
30 N 0.492 0.350 0.540
31 N 0.514 0.834 0.540
32 N 0.584 0.545 0.820
33 N 0.650 0.190 0.142
34 N 0.702 0.742 0.642
35 N 0.724 0.764 0.180
36 N 0.810 0.952 0.460
37 N 0.876 0.626 0.748
38 N 0.877 0.128 0.252
39 N 0.878 0.126 0.750
40 N 0.940 0.298 0.040